Gd11Ge10: simulated powder XRD pattern (Cu Kα X-rays), based on DFT lattice parameters and positions (PBE).
No peak broadening, texture or thermal motion is included.

The 12 most intense peaks (15 to 90 degrees two-theta), by angle:
24.9°, I 15.0
32.4°, I 75.1
32.6°, I 31.8
33.5°, I 100.0
34.3°, I 32.4
34.6°, I 44.3
36.4°, I 32.0
49.6°, I 13.8
49.7°, I 12.4
52.5°, I 16.1
56.4°, I 15.0
68.1°, I 13.3

Crystal structure
Unit cell a=10.998 b=10.998 c=16.702 alpha=90.00 beta=90.00 gamma=90.00
Space group I4/mmm (No. 139)
Inequivalent atoms, fractional coordinates:
1 Gd 0.000 0.000 0.160 (multiplicity 4)
2 Gd 0.000 0.252 0.309 (multiplicity 16)
3 Gd 0.000 0.322 0.103 (multiplicity 16)
4 Gd 0.178 0.178 0.500 (multiplicity 8)
5 Ge 0.000 0.000 0.388 (multiplicity 4)
6 Ge 0.000 0.363 0.500 (multiplicity 8)
7 Ge 0.000 0.500 0.250 (multiplicity 4)
8 Ge 0.119 0.119 0.000 (multiplicity 8)
9 Ge 0.210 0.210 0.182 (multiplicity 16)

Gd2Ge: simulated powder XRD pattern (Cu Kα X-rays), based on DFT lattice parameters and positions (PBE).
No peak broadening, texture or thermal motion is included.

The 12 most intense peaks (15 to 90 degrees two-theta), by angle:
29.6°, I 40.5
30.2°, I 47.9
32.1°, I 27.1
32.9°, I 100.0
33.4°, I 85.6
34.1°, I 68.3
36.0°, I 61.2
38.2°, I 33.8
39.0°, I 57.7
50.1°, I 23.5
55.7°, I 22.6
61.4°, I 23.2

Crystal structure
Unit cell a=6.749 b=4.622 c=9.883 alpha=90.00 beta=90.00 gamma=90.00
Space group Pnma (No. 62)
Inequivalent atoms, fractional coordinates:
1 Gd 0.062 0.250 0.201 (multiplicity 4)
2 Gd 0.163 0.250 0.551 (multiplicity 4)
3 Ge 0.208 0.250 0.871 (multiplicity 4)

GdGeHO4: simulated powder XRD pattern (Cu Kα X-rays), based on DFT lattice parameters and positions (PBE).
No peak broadening, texture or thermal motion is included.

The 12 most intense peaks (15 to 90 degrees two-theta), by angle:
18.1°, I 29.6
24.3°, I 100.0
25.4°, I 98.6
30.6°, I 39.1
30.8°, I 43.2
34.8°, I 24.1
35.1°, I 48.8
35.6°, I 49.3
36.1°, I 20.1
51.0°, I 20.0
53.1°, I 20.8
53.9°, I 22.1

Crystal structure
Unit cell a=8.025 b=6.567 c=7.005 alpha=90.00 beta=113.87 gamma=90.00
Space group P2_1/c (No. 14)
Inequivalent atoms, fractional coordinates:
1 Gd 0.220 0.137 0.109 (multiplicity 4)
2 Ge 0.241 0.617 0.125 (multiplicity 4)
3 H 0.459 0.666 0.874 (multiplicity 4)
4 O 0.080 0.690 0.541 (multiplicity 4)
5 O 0.222 0.065 0.795 (multiplicity 4)
6 O 0.277 0.036 0.440 (multiplicity 4)
7 O 0.455 0.742 0.750 (multiplicity 4)

GdGeHO4: simulated powder XRD pattern (Cu Kα X-rays), based on DFT lattice parameters and positions (PBE).
No peak broadening, texture or thermal motion is included.

The 12 most intense peaks (15 to 90 degrees two-theta), by angle:
17.9°, I 37.3
24.5°, I 94.5
25.8°, I 100.0
29.8°, I 48.5
30.2°, I 51.2
34.4°, I 46.7
34.7°, I 28.0
35.3°, I 53.3
37.1°, I 38.0
52.6°, I 42.6
54.2°, I 36.8
60.9°, I 23.1

Crystal structure
Unit cell a=7.853 b=6.778 c=6.915 alpha=90.00 beta=112.33 gamma=90.00
Space group P2_1/c (No. 14)
Inequivalent atoms, fractional coordinates:
1 Gd 0.208 0.140 0.104 (multiplicity 4)
2 Ge 0.242 0.607 0.128 (multiplicity 4)
3 H 0.465 0.685 0.884 (multiplicity 4)
4 O 0.103 0.686 0.550 (multiplicity 4)
5 O 0.183 0.074 0.771 (multiplicity 4)
6 O 0.284 0.041 0.442 (multiplicity 4)
7 O 0.469 0.704 0.292 (multiplicity 4)

GdHgGe6: simulated powder XRD pattern (Cu Kα X-rays), based on DFT lattice parameters and positions (PBE).
No peak broadening, texture or thermal motion is included.

The 12 most intense peaks (15 to 90 degrees two-theta), by angle:
24.5°, I 53.0
32.1°, I 16.7
32.5°, I 34.1
36.9°, I 100.0
38.7°, I 14.5
39.1°, I 41.4
49.7°, I 25.9
50.0°, I 14.6
55.1°, I 14.0
59.5°, I 14.2
66.6°, I 15.4
79.1°, I 14.1

Crystal structure
Unit cell a=8.4276 b=8.4276 c=8.3765 alpha=90.00 beta=90.00 gamma=120.00
Space group R-3 (No. 148, hexagonal axes)
Inequivalent atoms, fractional coordinates:
1 Gd 0.0000 0.0000 0.0000 (multiplicity 3)
2 Hg 0.0000 0.0000 0.5000 (multiplicity 3)
3 Ge 0.0083 0.3158 0.1900 (multiplicity 18)

Gd2Ho2GeI5: simulated powder XRD pattern (Cu Kα X-rays), based on DFT lattice parameters and positions (PBE).
No peak broadening, texture or thermal motion is included.

The 12 most intense peaks (15 to 90 degrees two-theta), by angle:
26.3°, I 9.3
28.6°, I 57.7
29.2°, I 100.0
32.0°, I 13.7
40.7°, I 17.6
41.2°, I 33.9
41.6°, I 32.1
42.9°, I 18.4
52.4°, I 18.3
60.6°, I 10.8
67.1°, I 11.1
70.2°, I 8.4

Crystal structure
Unit cell a=19.174 b=4.219 c=8.867 alpha=90.00 beta=102.65 gamma=90.00
Space group C2/m (No. 12)
Inequivalent atoms, fractional coordinates:
1 Gd 0.000 0.000 0.213 (multiplicity 4)
2 Ho 0.145 0.500 0.074 (multiplicity 4)
3 Ge 0.000 0.500 0.000 (multiplicity 2)
4 I 0.000 0.500 0.500 (multiplicity 2)
5 I 0.167 0.000 0.332 (multiplicity 4)
6 I 0.173 0.000 0.835 (multiplicity 4)